1.
Calculated X-ray powder pattern
Compound: NpMn2GeN
Radiation: λ = 1.5418 Å (Cu Kα)
Structure: the GGA-PBE geometry in Alexandria
Intensities are scaled so that the largest is 100.

Structural model:
abc: 3.8095 4.0895 5.0070
angles: 90.00 90.00 90.00
Sites, in units of the cell vectors:
Np 0.0000 0.0000 0.0000
Mn 0.0000 0.5000 0.4941
Mn 0.5000 0.0000 0.5414
Ge 0.5000 0.5000 0.8418
N 0.0000 0.0000 0.4499

Main lines, by angle (2θ from 10° to 80°):
- 2θ = 17.7°, I 27.4
- 2θ = 21.7°, I 19.5
- 2θ = 28.2°, I 24.7
- 2θ = 29.5°, I 24.2
- 2θ = 32.1°, I 22.3
- 2θ = 35.9°, I 20.0
- 2θ = 36.9°, I 100.0
- 2θ = 42.3°, I 19.5
- 2θ = 43.2°, I 18.3
- 2θ = 44.3°, I 19.9

2.
Calculated X-ray powder pattern
Compound: Sc2Mn2Ge2N
Radiation: λ = 1.5418 Å (Cu Kα)
Structure: the GGA-PBE geometry in Alexandria
Intensities are scaled so that the largest is 100.

Structural model:
abc: 3.9403 3.9403 13.7219
angles: 90.00 90.00 90.00
Sites, in units of the cell vectors:
Sc 0.0000 0.0000 0.1605
Sc 0.0000 0.0000 0.8395
Sc 0.5000 0.5000 0.3395
Sc 0.5000 0.5000 0.6605
Mn 0.0000 0.5000 0.0000
Mn 0.0000 0.5000 0.5000
Mn 0.5000 0.0000 0.0000
Mn 0.5000 0.0000 0.5000
Ge 0.0000 0.0000 0.3686
Ge 0.0000 0.0000 0.6314
Ge 0.5000 0.5000 0.1314
Ge 0.5000 0.5000 0.8686
N 0.0000 0.0000 0.0000
N 0.5000 0.5000 0.5000

Main lines, by angle (2θ from 10° to 80°):
- 2θ = 12.9°, I 31.8
- 2θ = 32.1°, I 22.9
- 2θ = 34.8°, I 41.0
- 2θ = 39.4°, I 19.6
- 2θ = 40.0°, I 19.2
- 2θ = 41.8°, I 100.0
- 2θ = 46.1°, I 53.1
- 2θ = 62.2°, I 17.9
- 2θ = 67.2°, I 15.8
- 2θ = 73.2°, I 11.5

3.
Calculated X-ray powder pattern
Compound: Mn4ZnGeN
Radiation: λ = 1.5418 Å (Cu Kα)
Structure: the GGA-PBE geometry in Alexandria
Intensities are scaled so that the largest is 100.

Structural model:
abc: 6.9897 6.9897 5.2869
angles: 90.00 90.00 135.93
Sites, in units of the cell vectors:
Mn 0.0000 0.5000 0.0000
Mn 0.0000 0.5000 0.5000
Mn 0.0850 0.9150 0.7500
Mn 0.4081 0.5919 0.7500
Mn 0.5000 0.0000 0.0000
Mn 0.5000 0.0000 0.5000
Mn 0.5919 0.4081 0.2500
Mn 0.9150 0.0850 0.2500
Zn 0.3960 0.6040 0.2500
Zn 0.6040 0.3960 0.7500
Ge 0.1073 0.8927 0.2500
Ge 0.8927 0.1073 0.7500
N 0.2467 0.7533 0.7500
N 0.7533 0.2467 0.2500

Main lines, by angle (2θ from 10° to 80°):
- 2θ = 13.7°, I 19.2
- 2θ = 33.9°, I 26.1
- 2θ = 34.2°, I 25.5
- 2θ = 36.7°, I 54.6
- 2θ = 37.0°, I 53.5
- 2θ = 41.8°, I 60.6
- 2θ = 44.2°, I 82.7
- 2θ = 44.4°, I 81.4
- 2θ = 48.9°, I 100.0
- 2θ = 66.3°, I 54.7